For Mg6GaW, a crystal structure in the Materials Project, relaxed with GGA-PBE gives the calculated X-ray powder pattern in this record (copper Kα).
Peak positions follow from Bragg's law for the DFT cell and can differ from measured ones.

Atomic structure:
a = 4.954 Å, b = 5.863 Å, c = 10.706 Å
α = 90.00°, β = 90.00°, γ = 90.00°
Positions (direct):
Mg  0.000  0.000  0.000
Mg  0.000  0.000  0.494
Mg  0.000  0.240  0.257
Mg  0.000  0.260  0.757
Mg  0.000  0.500  0.500
Mg  0.000  0.500  0.994
Mg  0.000  0.740  0.757
Mg  0.000  0.760  0.257
Mg  0.500  0.248  0.591
Mg  0.500  0.252  0.091
Mg  0.500  0.748  0.091
Mg  0.500  0.752  0.591
Ga  0.500  0.000  0.840
Ga  0.500  0.500  0.340
W  0.500  0.000  0.343
W  0.500  0.500  0.843

Principal peaks in the range 10° ≤ 2θ ≤ 90°, in order of falling intensity:
hkl	2theta	Rel. int.
1 2 2	39.49	100
0 0 2	16.56	71
1 0 4	38.22	60
1 0 0	17.91	56
1 0 2	24.48	51
0 2 2	34.90	42
2 0 0	36.27	41
0 1 1	17.24	37
2 2 2	51.21	31
1 1 1	24.96	27